No. 1
For Ho13Er3, a PBE-relaxed structure gives the calculated powder XRD pattern in this record (Cu Kα).

Structure:
```
Ho13Er3
1.0
7.1945 0.0000 0.0000
0.0000 5.5644 6.2187
0.0000 -5.5644 6.2187
Ho Er
13 3
Direct
0.0000 0.9996 0.9996 Ho
0.0000 0.4172 0.9164 Ho
0.0000 0.5000 0.5000 Ho
0.0000 0.9164 0.4172 Ho
0.2501 0.1664 0.6670 Ho
0.2500 0.2497 0.2497 Ho
0.2501 0.6670 0.1664 Ho
0.5000 0.4169 0.9165 Ho
0.5000 0.5000 0.5000 Ho
0.5000 0.9165 0.4169 Ho
0.7499 0.1664 0.6670 Ho
0.7500 0.2497 0.2497 Ho
0.7499 0.6670 0.1664 Ho
0.2501 0.7500 0.7500 Er
0.5000 0.9995 0.9995 Er
0.7499 0.7500 0.7500 Er
```

Main lines, most intense first (10 to 90 degrees two-theta):
2θ (°)  I (rel.)
32.98  100.0
28.68  24.0
32.17  23.7
61.42  22.5
57.87  20.2
50.81  19.9
61.92  16.5
43.64  15.5
84.15  9.4
88.99  8.5

***

No. 2
For Ho7Er3, a PBE-relaxed structure gives the calculated powder XRD pattern in this record (Cu Kα).

Structure:
```
Ho7Er3
1.0
8.9408 -2.4763 0.0000
8.9408 2.4763 0.0000
-1.3798 0.0000 6.8980
Ho Er
7 3
Direct
0.0000 0.0000 0.0000 Ho
0.2000 0.2000 0.6001 Ho
0.3999 0.3999 0.1998 Ho
0.4000 0.4000 0.7000 Ho
0.6000 0.6000 0.3000 Ho
0.6001 0.6001 0.8002 Ho
0.8000 0.8000 0.3999 Ho
0.0000 0.0000 0.5000 Er
0.2001 0.2001 0.1000 Er
0.7999 0.7999 0.9000 Er
```

Main lines, most intense first (10 to 90 degrees two-theta):
2θ (°)  I (rel.)
31.22  100.0
36.17  33.8
52.16  29.9
62.06  21.3
36.28  16.8
61.93  14.3
85.28  11.9
62.15  7.1
87.99  7.0
65.05  6.2

***

> Which formula does entry 2 have?

Ho7Er3